Diffraction record for KHg2P. The powder X-ray diffraction pattern is computed, not measured: it uses a cell relaxed with GGA-PBE and Cu Kα.

Structural model:
```
KHg2P
1.0
3.798 0.000 0.000
0.000 3.798 0.000
0.000 0.000 8.073
K Hg P
1 2 1
Cartesian
0.000 0.000 0.000 K
0.000 0.000 3.208 Hg
1.899 1.899 5.708 Hg
1.899 1.899 2.815 P
```

Most intense lines, 2θ from 15° to 90°, by angle:
- 25.93°, I = 99
- 32.37°, I = 100
- 33.35°, I = 100
- 35.22°, I = 21
- 47.87°, I = 69
- 55.27°, I = 26
- 59.01°, I = 37
- 59.59°, I = 23
- 62.51°, I = 20
- 79.86°, I = 22